For Na7Al3O8, a DFT-relaxed cell (GGA-PBE, Alexandria) gives the calculated powder XRD pattern in this record (λ = 1.5418 Å (Cu Kα)).

Structural model:
Cell: 5.9189 8.0301 11.4246 Å, 69.46 89.83 71.20°
Space group P-1 (No. 2)
Inequivalent atoms, fractional coordinates:
Na 0.0311 0.2048 0.2312 [2 per cell]
Na 0.0534 0.1935 0.7379 [2 per cell]
Na 0.1283 0.5879 0.0556 [2 per cell]
Na 0.1579 0.5971 0.5520 [2 per cell]
Na 0.2248 0.0165 0.0524 [2 per cell]
Na 0.2436 0.9911 0.5557 [2 per cell]
Na 0.3462 0.4045 0.8325 [2 per cell]
Al 0.3366 0.4054 0.3409 [2 per cell]
Al 0.4316 0.7985 0.3646 [2 per cell]
Al 0.4582 0.8250 0.8536 [2 per cell]
O 0.0385 0.4897 0.2687 [2 per cell]
O 0.1403 0.9026 0.3962 [2 per cell]
O 0.1796 0.8679 0.9167 [2 per cell]
O 0.2807 0.2996 0.0359 [2 per cell]
O 0.3460 0.2672 0.5047 [2 per cell]
O 0.4367 0.5944 0.3348 [2 per cell]
O 0.4485 0.7169 0.7393 [2 per cell]
O 0.4795 0.0574 0.7715 [2 per cell]

Largest 10 diffraction maxima, by angle, 10° ≤ 2θ ≤ 80°:
2θ (°)  I (rel.)  hkl
24.6  22  0 2 2
24.8  16  1 2 0
33.5  30  2 2 0
35.4  27  0 2 -2
35.6  100  1 0 -4
38.4  46  2 0 2
38.5  39  -2 1 2
45.0  20  1 3 -2
45.2  27  1 4 2
61.3  21  3 4 4

***

For MgRh5, a DFT-relaxed cell (GGA-PBE, Alexandria) gives the calculated powder XRD pattern in this record (λ = 1.5418 Å (Cu Kα)).

Structural model:
Cell: 2.7605 2.7605 11.4759 Å, 90.00 90.00 90.00°
Space group P4/mmm (No. 123)
Inequivalent atoms, fractional coordinates:
Mg 0.0000 0.0000 0.0000 [1 per cell]
Rh 0.0000 0.0000 0.3338 [2 per cell]
Rh 0.5000 0.5000 0.1728 [2 per cell]
Rh 0.5000 0.5000 0.5000 [1 per cell]

Largest 10 diffraction maxima, by angle, 10° ≤ 2θ ≤ 80°:
2θ (°)  I (rel.)  hkl
15.4  8  0 0 2
23.3  2  0 0 3
32.4  2  1 0 0
33.4  3  1 0 1
40.3  100  1 0 3
45.6  3  1 0 4
46.5  33  1 1 0
47.5  15  0 0 6
67.9  10  2 0 0
68.7  20  1 1 6